(1)
Starting from a structure optimized by DFT (GGA-PBE), the PXRD pattern of CaNCl3 was simulated for Cu Kα, 1.54184 Å.
Lines closer than 0.1° are merged.

Top 6 peaks for 2θ from 10° to 80°, in order of falling intensity:
- 16.30 deg, 5.440 Å, I = 100, (1 0 1)
- 24.74 deg, 3.599 Å, I = 79, (2 1 0)
- 31.97 deg, 2.799 Å, I = 67, (0 3 1)
- 28.03 deg, 3.183 Å, I = 66, (1 1 2)
- 26.20 deg, 3.401 Å, I = 64, (1 0 2)
- 38.63 deg, 2.331 Å, I = 51, (2 2 2)

Atomic structure:
abc: 7.847 9.042 7.547
angles: 90.00 90.00 90.00
Space group Pnma (No. 62)
One atom of each set of equivalent atoms:
Ca 0.000 0.000 0.000 [4 per cell]
N 0.075 0.250 0.357 [4 per cell]
Cl 0.075 0.250 0.845 [4 per cell]
Cl 0.194 0.088 0.303 [8 per cell]

(2)
Starting from a structure optimized by DFT (GGA-PBE), the PXRD pattern of Ca2PClO4 was simulated for Cu Kα, 1.54184 Å.
Lines closer than 0.1° are merged.

Top 6 peaks for 2θ from 10° to 80°, in order of falling intensity:
- 32.83 deg, 2.728 Å, I = 100, (0 0 4)
- 20.66 deg, 4.300 Å, I = 82, (1 1 1)
- 44.42 deg, 2.040 Å, I = 68, (1 2 4)
- 31.30 deg, 2.858 Å, I = 64, (2 1 0)
- 25.26 deg, 3.526 Å, I = 63, (0 2 0)
- 33.48 deg, 2.676 Å, I = 62, (1 2 2)

Atomic structure:
abc: 6.253 7.052 10.912
angles: 90.00 90.00 90.00
Space group Pbcm (No. 57)
One atom of each set of equivalent atoms:
Ca 0.130 0.028 0.250 [4 per cell]
Ca 0.367 0.750 0.000 [4 per cell]
P 0.138 0.250 0.000 [4 per cell]
Cl 0.481 0.717 0.750 [4 per cell]
O 0.010 0.728 0.615 [8 per cell]
O 0.284 0.076 0.023 [8 per cell]

(3)
Starting from a structure optimized by DFT (GGA-PBE), the PXRD pattern of Ca2P3Pb3ClO12 was simulated for Cu Kα, 1.54184 Å.
Lines closer than 0.1° are merged.

Top 6 peaks for 2θ from 10° to 80°, in order of falling intensity:
- 30.12 deg, 2.967 Å, I = 100, (1 2 1)
- 21.73 deg, 4.089 Å, I = 51, (1 1 1)
- 41.92 deg, 2.155 Å, I = 32, (4 0 0)
- 47.16 deg, 1.927 Å, I = 30, (1 2 3)
- 24.84 deg, 3.584 Å, I = 27, (0 0 2)
- 30.74 deg, 2.909 Å, I = 26, (1 1 2)

Atomic structure:
abc: 9.9578 9.9578 7.1679
angles: 90.00 90.00 120.00
Space group P6_3/m (No. 176)
One atom of each set of equivalent atoms:
Ca 0.3333 0.6667 0.0046 [4 per cell]
P 0.0334 0.4200 0.7500 [6 per cell]
Pb 0.0103 0.7532 0.7500 [6 per cell]
Cl 0.0000 0.0000 0.0000 [2 per cell]
O 0.0841 0.3640 0.5750 [12 per cell]
O 0.1367 0.6026 0.7500 [6 per cell]
O 0.1418 0.6319 0.2500 [6 per cell]